# 1
Structure and theoretical X-ray diffraction stick pattern of PuPaI2F6 (a structure optimized by DFT (GGA-PBE); Cu Ka).
Intensities are scaled so that the largest is 100.

Most intense lines, 5 to 70 degrees two-theta, in order of rising 2θ:
2theta	intensity	(hkl)
17.73	46	0 1 0
20.41	47	1 0 -1
23.14	100	1 0 1
25.50	48	0 0 2
30.70	95	1 1 -1
30.86	56	2 -1 0
36.21	47	1 1 1
40.45	48	-2 1 2

Cell and atoms:
```
data_PuPaI2F6
_chemical_formula_sum 'Pu1 Pa1 I2 F6'
_cell_length_a 5.797
_cell_length_b 5.931
_cell_length_c 7.235
_cell_angle_alpha 103.09
_cell_angle_beta 90.03
_cell_angle_gamma 119.18
_symmetry_space_group_name_H-M 'P -1'
_symmetry_Int_Tables_number 2
_symmetry_space_group_name_Hall '-P 1'
loop_
_atom_site_label
_atom_site_type_symbol
_atom_site_fract_x
_atom_site_fract_y
_atom_site_fract_z
Pu1 Pu 0.000 0.000 0.000
Pa1 Pa 0.500 0.000 0.500
I1 I 0.309 0.619 0.915
F1 F 0.219 0.992 0.701
F2 F 0.228 0.009 0.299
F3 F 0.294 0.589 0.407
```

=====

# 2
Structure and theoretical X-ray diffraction stick pattern of Pb7I2F12 (a structure optimized by DFT (GGA-PBE); Cu Ka).
Intensities are scaled so that the largest is 100.

Most intense lines, 5 to 70 degrees two-theta, in order of rising 2θ:
2theta	intensity	(hkl)
25.50	86	1 2 0
27.29	84	1 1 1
28.98	100	3 0 0
33.59	56	3 -2 1
41.45	23	4 -3 1
44.94	53	4 1 0
48.23	52	2 3 1
60.06	25	6 -5 1

Cell and atoms:
```
data_Pb7I2F12
_chemical_formula_sum 'Pb7 I2 F12'
_cell_length_a 10.6728
_cell_length_b 10.6728
_cell_length_c 4.1338
_cell_angle_alpha 90.00
_cell_angle_beta 90.00
_cell_angle_gamma 120.00
_symmetry_space_group_name_H-M 'P -3'
_symmetry_Int_Tables_number 147
_symmetry_space_group_name_Hall '-P 3'
loop_
_atom_site_label
_atom_site_type_symbol
_atom_site_fract_x
_atom_site_fract_y
_atom_site_fract_z
Pb1 Pb 0.0000 0.0000 0.0000
Pb2 Pb 0.0905 0.3955 0.7428
I1 I 0.3333 0.6667 0.2466
F1 F 0.0434 0.6124 0.7507
F2 F 0.1061 0.8587 0.2466
```

=====

# 3
Structure and theoretical X-ray diffraction stick pattern of Pb4IF6 (a structure optimized by DFT (GGA-PBE); Cu Ka).
Intensities are scaled so that the largest is 100.

Most intense lines, 5 to 70 degrees two-theta, in order of rising 2θ:
2theta	intensity	(hkl)
25.66	67	1 0 1
26.57	100	2 0 0
31.95	71	1 1 1
34.70	51	2 0 1
42.02	43	2 1 1
46.36	43	3 0 1
46.92	38	2 2 0
52.74	33	2 0 2

Cell and atoms:
```
data_Pb4IF6
_chemical_formula_sum 'Pb4 I1 F6'
_cell_length_a 7.7464
_cell_length_b 7.7464
_cell_length_c 4.0569
_cell_angle_alpha 90.00
_cell_angle_beta 90.00
_cell_angle_gamma 120.00
_symmetry_space_group_name_H-M 'P -6 m 2'
_symmetry_Int_Tables_number 187
_symmetry_space_group_name_Hall 'P -6 2'
loop_
_atom_site_label
_atom_site_type_symbol
_atom_site_fract_x
_atom_site_fract_y
_atom_site_fract_z
Pb1 Pb 0.0000 0.0000 0.0000
Pb2 Pb 0.5219 0.0438 0.5000
I1 I 0.3333 0.6667 0.0000
F1 F 0.1302 0.2604 0.5000
F2 F 0.3969 0.1984 0.0000
```

=====

# 4
Structure and theoretical X-ray diffraction stick pattern of Pb2IF2 (a structure optimized by DFT (GGA-PBE); Cu Ka).
Intensities are scaled so that the largest is 100.

Most intense lines, 5 to 70 degrees two-theta, in order of rising 2θ:
2theta	intensity	(hkl)
14.44	88	1 0 1
28.66	100	2 1 1
29.11	93	2 0 2
30.86	46	0 0 4
36.23	65	2 1 3
45.92	32	3 2 1
51.33	27	3 2 3
59.34	29	4 2 2

Cell and atoms:
```
data_Pb2IF2
_chemical_formula_sum 'Pb8 I4 F8'
_cell_length_a 7.231
_cell_length_b 7.231
_cell_length_c 11.590
_cell_angle_alpha 90.00
_cell_angle_beta 90.00
_cell_angle_gamma 90.00
_symmetry_space_group_name_H-M 'I 41 m d'
_symmetry_Int_Tables_number 109
_symmetry_space_group_name_Hall 'I 4bw -2'
loop_
_atom_site_label
_atom_site_type_symbol
_atom_site_fract_x
_atom_site_fract_y
_atom_site_fract_z
Pb1 Pb 0.000 0.250 0.000
I1 I 0.000 0.000 0.521
F1 F 0.000 0.292 0.266
```